For NaZrTaSi2SO12, a crystal structure in the Materials Project, relaxed with PBE gives the theoretical XRD peak list in this record (Cu Kα (weighted mean of Kα1 and Kα2)).
Peak positions follow from Bragg's law for the DFT cell and can differ from measured ones.

Largest 10 diffraction maxima, sorted by position, 2θ from 5° to 70°:
d = 6.438 Å, intensity 47, hkl 1 1 -1
d = 4.635 Å, intensity 82, hkl 2 0 -2
d = 4.473 Å, intensity 100, hkl 0 2 0
d = 3.869 Å, intensity 37, hkl 0 2 1
d = 3.223 Å, intensity 31, hkl 2 2 -2
d = 2.924 Å, intensity 42, hkl 3 1 -3
d = 2.914 Å, intensity 24, hkl 3 1 1
d = 2.612 Å, intensity 26, hkl 1 3 1
d = 2.582 Å, intensity 33, hkl 6 0 -2
d = 1.690 Å, intensity 21, hkl 9 1 -3

Structural model:
a b c (Å): 15.4789 8.9535 9.2984
angles (deg): 90.00 123.96 90.00
Space group Cc (No. 9)
Asymmetric unit:
1 Na 0.0000 0.2359 0.0000 (multiplicity 4)
2 Zr 0.3473 0.2661 0.0717 (multiplicity 4)
3 Ta 0.1376 0.2493 0.4415 (multiplicity 4)
4 Si 0.1034 0.1035 0.7582 (multiplicity 4)
5 Si 0.2409 0.4590 0.2544 (multiplicity 4)
6 S 0.3903 0.1095 0.7553 (multiplicity 4)
7 O 0.0042 0.1844 0.7398 (multiplicity 4)
8 O 0.1005 0.0800 0.2817 (multiplicity 4)
9 O 0.1068 0.1381 0.5848 (multiplicity 4)
10 O 0.1616 0.3583 0.2806 (multiplicity 4)
11 O 0.1751 0.4279 0.5848 (multiplicity 4)
12 O 0.2089 0.1652 0.9271 (multiplicity 4)
13 O 0.2962 0.1767 0.5969 (multiplicity 4)
14 O 0.3160 0.4406 0.9243 (multiplicity 4)
15 O 0.3196 0.3468 0.2433 (multiplicity 4)
16 O 0.3923 0.1347 0.9117 (multiplicity 4)
17 O 0.3983 0.0507 0.2331 (multiplicity 4)
18 O 0.4824 0.1861 0.7701 (multiplicity 4)